This entry pairs a crystal structure of TbPr5 with its simulated PXRD pattern. Radiation: a wavelength of 1.5418 Å. Structure: a GGA-PBE-relaxed structure.
Kinematic intensities with the Lorentz-polarization factor, no thermal factor.

Cell and atoms:
```
data_TbPr5
_cell_length_a 5.230
_cell_length_b 11.049
_cell_length_c 7.368
_cell_angle_alpha 90.00
_cell_angle_beta 90.00
_cell_angle_gamma 90.00
_symmetry_space_group_name_H-M 'P m m n'
_symmetry_Int_Tables_number 59
loop_
_symmetry_equiv_pos_as_xyz
'x,y,z'
'-x,-y,-z'
'-x+1/2,-y+1/2,z'
'x+1/2,y+1/2,-z'
'x+1/2,-y,-z'
'-x+1/2,y,z'
'-x,y+1/2,-z'
'x,-y+1/2,z'
loop_
_atom_site_label
_atom_site_type_symbol
_atom_site_fract_x
_atom_site_fract_y
_atom_site_fract_z
Tb1 Tb 0.250 0.250 0.123
Pr1 Pr 0.250 0.250 0.626
Pr2 Pr 0.250 0.583 0.124
Pr3 Pr 0.250 0.585 0.627
```

The 6 most intense peaks (2θ from 10° to 90°), most intense first:
Position (°2θ), I/Imax, (hkl)
29.7, 100, 1 3 0
34.4, 34, 0 3 2
49.4, 30, 2 3 2
58.8, 29, 1 6 2
34.3, 17, 2 0 0
58.6, 15, 3 3 0